(1)
Structure and calculated powder X-ray diffraction pattern of Nd2DyYEr6 (a cell relaxed with PBE; λ = 1.5418 Å (Cu Kα)).
Neutral-atom scattering factors, no anomalous dispersion.

Structure:
```
data_Nd2DyYEr6
_chemical_formula_sum 'Nd8 Dy4 Y4 Er24'
_cell_length_a 8.9714
_cell_length_b 15.0272
_cell_length_c 9.6458
_cell_angle_alpha 90.00
_cell_angle_beta 98.93
_cell_angle_gamma 90.00
_space_group_name_H-M_alt 'C 1 2/c 1'
_space_group_IT_number 15
loop_
_space_group_symop_operation_xyz
'x,y,z'
'-x,-y,-z'
'-x,y,-z+1/2'
'x,-y,z+1/2'
'x+1/2,y+1/2,z'
'-x+1/2,-y+1/2,-z'
'-x+1/2,y+1/2,-z+1/2'
'x+1/2,-y+1/2,z+1/2'
loop_
_atom_site_label
_atom_site_fract_x
_atom_site_fract_y
_atom_site_fract_z
Nd1 0.2463 0.0533 0.0426
Dy1 0.0000 0.4068 0.2500
Y1 0.0000 0.0181 0.7500
Er1 0.0646 0.1913 0.4427
Er2 0.1037 0.3946 0.6191
Er3 0.2002 0.2238 0.8130
```

The 6 most intense peaks (2θ from 10° to 90°), by angle:
- 2θ 30.56, 2.926 Å, I = 65, hkl 0 2 3
- 2θ 30.84, 2.899 Å, I = 100, hkl 3 1 -1
- 2θ 31.43, 2.846 Å, I = 73, hkl 1 5 0
- 2θ 31.69, 2.823 Å, I = 52, hkl 2 4 -1
- 2θ 31.94, 2.802 Å, I = 92, hkl 2 2 2
- 2θ 33.61, 2.666 Å, I = 89, hkl 1 3 -3

---

(2)
Structure and calculated powder X-ray diffraction pattern of Rb2HAuCl6 (a cell relaxed with PBE; λ = 1.5418 Å (Cu Kα)).
Neutral-atom scattering factors, no anomalous dispersion.

Structure:
```
data_Rb2HAuCl6
_chemical_formula_sum 'Rb4 H2 Au2 Cl12'
_cell_length_a 7.7441
_cell_length_b 7.7441
_cell_length_c 9.0939
_cell_angle_alpha 90.00
_cell_angle_beta 90.00
_cell_angle_gamma 90.00
_space_group_name_H-M_alt 'I 4/m m m'
_space_group_IT_number 139
_space_group_name_Hall '-I 4 2'
loop_
_atom_site_label
_atom_site_fract_x
_atom_site_fract_y
_atom_site_fract_z
Rb1 0.0000 0.5000 0.2500
H1 0.0000 0.0000 0.0000
Au1 0.0000 0.0000 0.5000
Cl1 0.0000 0.0000 0.1697
Cl2 0.2134 0.2134 0.5000
```

The 6 most intense peaks (2θ from 10° to 90°), by angle:
- 2θ 15.03, 5.896 Å, I = 100, hkl 1 0 1
- 2θ 22.97, 3.872 Å, I = 51, hkl 2 0 0
- 2θ 25.46, 3.498 Å, I = 95, hkl 1 1 2
- 2θ 31.70, 2.823 Å, I = 42, hkl 1 0 3
- 2θ 32.71, 2.738 Å, I = 68, hkl 2 2 0
- 2θ 41.90, 2.156 Å, I = 43, hkl 3 1 2

---

(3)
Structure and calculated powder X-ray diffraction pattern of Tb2SnAu4 (a cell relaxed with PBE; λ = 1.5418 Å (Cu Kα)).
Neutral-atom scattering factors, no anomalous dispersion.

Structure:
```
data_Tb2SnAu4
_chemical_formula_sum 'Tb6 Sn3 Au12'
_cell_length_a 4.7277
_cell_length_b 4.7277
_cell_length_c 26.1334
_cell_angle_alpha 90.00
_cell_angle_beta 90.00
_cell_angle_gamma 120.00
_space_group_name_H-M_alt 'R -3 m'
_space_group_IT_number 166
_space_group_name_Hall '-R 3 2"'
loop_
_atom_site_label
_atom_site_fract_x
_atom_site_fract_y
_atom_site_fract_z
Tb1 0.0000 0.0000 0.2475
Sn1 0.0000 0.0000 0.0000
Au1 0.0000 0.0000 0.1350
Au2 0.0000 0.0000 0.3732
```

The 6 most intense peaks (2θ from 10° to 90°), by angle:
- 2θ 25.68, 3.469 Å, I = 19, hkl 1 0 4
- 2θ 35.14, 2.554 Å, I = 100, hkl 0 1 8
- 2θ 38.07, 2.364 Å, I = 88, hkl 1 1 0
- 2θ 52.77, 1.735 Å, I = 32, hkl 2 0 8
- 2θ 66.90, 1.399 Å, I = 31, hkl 1 2 8
- 2θ 68.79, 1.365 Å, I = 16, hkl 3 0 0

---

(4)
Structure and calculated powder X-ray diffraction pattern of Tb3Pr5 (a cell relaxed with PBE; λ = 1.5418 Å (Cu Kα)).
Neutral-atom scattering factors, no anomalous dispersion.

Structure:
```
data_Tb3Pr5
_chemical_formula_sum 'Tb3 Pr5'
_cell_length_a 3.6671
_cell_length_b 3.6671
_cell_length_c 20.6339
_cell_angle_alpha 90.00
_cell_angle_beta 90.00
_cell_angle_gamma 90.00
_space_group_name_H-M_alt 'P 4/m m m'
_space_group_IT_number 123
_space_group_name_Hall '-P 4 2'
loop_
_atom_site_label
_atom_site_fract_x
_atom_site_fract_y
_atom_site_fract_z
Tb1 0.0000 0.0000 0.0000
Tb2 0.5000 0.5000 0.3768
Pr1 0.0000 0.0000 0.2527
Pr2 0.0000 0.0000 0.5000
Pr3 0.5000 0.5000 0.1239
```

The 6 most intense peaks (2θ from 10° to 90°), by angle:
- 2θ 29.89, 2.989 Å, I = 100, hkl 1 0 4
- 2θ 34.59, 2.593 Å, I = 34, hkl 1 1 0
- 2θ 34.78, 2.579 Å, I = 17, hkl 0 0 8
- 2θ 49.87, 1.829 Å, I = 24, hkl 1 1 8
- 2θ 59.11, 1.563 Å, I = 29, hkl 2 1 4
- 2θ 59.36, 1.557 Å, I = 14, hkl 1 0 12